# 1
SiHg2Se4: computed X-ray powder pattern (copper Kα), based on a DFT-relaxed cell (GGA-PBE, Alexandria).
Kinematic intensities with the Lorentz-polarization factor, no thermal factor.

Principal peaks in the range 2θ from 10° to 90°, by angle:
16.55 deg, I = 22; 20.35 deg, I = 44; 26.34 deg, I = 100; 33.51 deg, I = 45; 39.47 deg, I = 22; 41.37 deg, I = 31; 44.80 deg, I = 48; 49.71 deg, I = 34; 58.51 deg, I = 13; 77.85 deg, I = 16

Structure:
```
data_SiHg2Se4
_chemical_formula_sum 'Si2 Hg4 Se8'
_symmetry_space_group_name_H-M 'I -4 2 m'
_symmetry_Int_Tables_number 121
_symmetry_space_group_name_Hall 'I -4 2'
_cell_length_a 6.173
_cell_length_b 6.173
_cell_length_c 10.716
_cell_angle_alpha 90.00
_cell_angle_beta 90.00
_cell_angle_gamma 90.00
loop_
_atom_site_label
_atom_site_type_symbol
_atom_site_fract_x
_atom_site_fract_y
_atom_site_fract_z
Si1 Si 0.000 0.000 0.000
Hg1 Hg 0.000 0.500 0.250
Se1 Se 0.234 0.234 0.100
```

***

# 2
Sm7HgSe5: computed X-ray powder pattern (copper Kα), based on a DFT-relaxed cell (GGA-PBE, Alexandria).
Kinematic intensities with the Lorentz-polarization factor, no thermal factor.

Principal peaks in the range 2θ from 10° to 90°, by angle:
28.18 deg, I = 77; 29.95 deg, I = 100; 31.02 deg, I = 70; 31.47 deg, I = 20; 39.61 deg, I = 31; 42.07 deg, I = 22; 42.76 deg, I = 23; 43.51 deg, I = 53; 43.63 deg, I = 35; 52.75 deg, I = 27

Structure:
```
data_Sm7HgSe5
_chemical_formula_sum 'Sm28 Hg4 Se20'
_symmetry_space_group_name_H-M 'C 1 2/m 1'
_symmetry_Int_Tables_number 12
_cell_length_a 13.717
_cell_length_b 4.149
_cell_length_c 24.986
_cell_angle_alpha 90.00
_cell_angle_beta 90.03
_cell_angle_gamma 90.00
loop_
_symmetry_equiv_pos_as_xyz
'x,y,z'
'-x,-y,-z'
'-x,y,-z'
'x,-y,z'
'x+1/2,y+1/2,z'
'-x+1/2,-y+1/2,-z'
'-x+1/2,y+1/2,-z'
'x+1/2,-y+1/2,z'
loop_
_atom_site_label
_atom_site_type_symbol
_atom_site_fract_x
_atom_site_fract_y
_atom_site_fract_z
Sm1 Sm 0.027 0.000 0.250
Sm2 Sm 0.088 0.500 0.391
Sm3 Sm 0.089 0.500 0.109
Sm4 Sm 0.137 0.000 0.537
Sm5 Sm 0.137 0.000 0.963
Sm6 Sm 0.185 0.500 0.824
Sm7 Sm 0.186 0.500 0.677
Hg1 Hg 0.199 0.500 0.250
Se1 Se 0.000 0.500 0.000
Se2 Se 0.000 0.500 0.500
Se3 Se 0.049 0.000 0.642
Se4 Se 0.049 0.000 0.858
Se5 Se 0.225 0.000 0.071
Se6 Se 0.225 0.000 0.429
```

***

# 3
Sn2HgSe3: computed X-ray powder pattern (copper Kα), based on a DFT-relaxed cell (GGA-PBE, Alexandria).
Kinematic intensities with the Lorentz-polarization factor, no thermal factor.

Principal peaks in the range 2θ from 10° to 90°, by angle:
19.42 deg, I = 100; 24.69 deg, I = 60; 26.30 deg, I = 50; 27.06 deg, I = 64; 28.51 deg, I = 71; 29.48 deg, I = 55; 31.95 deg, I = 47; 32.61 deg, I = 56; 36.32 deg, I = 48; 38.83 deg, I = 66

Structure:
```
data_Sn2HgSe3
_chemical_formula_sum 'Sn16 Hg8 Se24'
_symmetry_space_group_name_H-M 'C 1 2/c 1'
_symmetry_Int_Tables_number 15
_cell_length_a 6.296
_cell_length_b 14.285
_cell_length_c 17.270
_cell_angle_alpha 90.00
_cell_angle_beta 95.99
_cell_angle_gamma 90.00
loop_
_symmetry_equiv_pos_as_xyz
'x,y,z'
'-x,-y,-z'
'-x,y,-z+1/2'
'x,-y,z+1/2'
'x+1/2,y+1/2,z'
'-x+1/2,-y+1/2,-z'
'-x+1/2,y+1/2,-z+1/2'
'x+1/2,-y+1/2,z+1/2'
loop_
_atom_site_label
_atom_site_type_symbol
_atom_site_fract_x
_atom_site_fract_y
_atom_site_fract_z
Sn1 Sn 0.141 0.216 0.371
Sn2 Sn 0.249 0.382 0.046
Hg1 Hg 0.213 0.034 0.664
Se1 Se 0.000 0.068 0.250
Se2 Se 0.000 0.339 0.250
Se3 Se 0.206 0.394 0.468
Se4 Se 0.218 0.308 0.898
```